Record 1
Structure and computed PXRD pattern of TbAl2H6 (a structure optimized by DFT (PBE); Cu Kα, 1.54184 Å).
No peak broadening, texture or thermal motion is included.

Peak list (10 most intense, 2θ from 5° to 70°, in order of rising 2θ)
- 21.29°, rel. 100, (1 1 1)
- 24.64°, rel. 24, (2 0 0)
- 35.12°, rel. 77, (2 2 0)
- 41.44°, rel. 56, (3 1 1)
- 43.37°, rel. 6, (2 2 2)
- 50.51°, rel. 15, (4 0 0)
- 55.41°, rel. 24, (3 3 1)
- 56.98°, rel. 10, (4 2 0)
- 63.01°, rel. 28, (4 2 2)
- 67.32°, rel. 17, (3 3 3)

Crystal structure
Unit cell a=7.2274 b=7.2274 c=7.2274 alpha=90.00 beta=90.00 gamma=90.00
Space group Fm-3m (No. 225)
Inequivalent atoms, fractional coordinates:
Tb  0.0000  0.0000  0.0000 [4 per cell]
Al  0.2500  0.2500  0.2500 [8 per cell]
H  0.0000  0.0000  0.2860 [24 per cell]

Record 2
Structure and computed PXRD pattern of TbAlH6 (a structure optimized by DFT (PBE); Cu Kα, 1.54184 Å).
No peak broadening, texture or thermal motion is included.

Peak list (10 most intense, 2θ from 5° to 70°, in order of rising 2θ)
- 22.20°, rel. 92, (1 0 1)
- 28.70°, rel. 100, (1 1 0)
- 34.27°, rel. 62, (0 1 2)
- 36.58°, rel. 25, (0 2 1)
- 45.29°, rel. 28, (2 0 2)
- 47.14°, rel. 28, (2 1 1)
- 50.85°, rel. 20, (3 0 0)
- 54.50°, rel. 35, (1 2 2)
- 54.64°, rel. 17, (1 1 3)
- 59.43°, rel. 13, (2 2 0)

Crystal structure
Unit cell a=6.2208 b=6.2208 c=5.9873 alpha=90.00 beta=90.00 gamma=120.00
Space group R-3m (No. 166, hexagonal axes)
Inequivalent atoms, fractional coordinates:
Tb  0.0000  0.0000  0.0000 [3 per cell]
Al  0.0000  0.0000  0.5000 [3 per cell]
H  0.0888  0.5444  0.3503 [18 per cell]

Record 3
Structure and computed PXRD pattern of Al2TcH5 (a structure optimized by DFT (PBE); Cu Kα, 1.54184 Å).
No peak broadening, texture or thermal motion is included.

Peak list (10 most intense, 2θ from 5° to 70°, in order of rising 2θ)
- 23.81°, rel. 100, (1 1 0)
- 25.21°, rel. 24, (0 0 1)
- 35.93°, rel. 30, (0 2 1)
- 40.99°, rel. 46, (2 2 -1)
- 43.53°, rel. 28, (1 3 0)
- 43.62°, rel. 9, (1 1 -2)
- 48.72°, rel. 12, (2 2 0)
- 52.07°, rel. 12, (3 1 -2)
- 64.85°, rel. 9, (3 3 -1)
- 67.97°, rel. 10, (2 4 -2)

Crystal structure
Unit cell a=5.6284 b=7.0806 c=4.5119 alpha=90.00 beta=128.52 gamma=90.00
Space group Cm (No. 8)
Inequivalent atoms, fractional coordinates:
Al  0.0000  0.2500  0.0000 [4 per cell]
Tc  0.4063  0.0000  0.3133 [2 per cell]
H  0.0952  0.3354  0.6896 [4 per cell]
H  0.0971  0.0000  0.3166 [2 per cell]
H  0.1691  0.0000  0.8424 [2 per cell]
H  0.2171  0.5000  0.3126 [2 per cell]

Record 4
Structure and computed PXRD pattern of AlTcH5 (a structure optimized by DFT (PBE); Cu Kα, 1.54184 Å).
No peak broadening, texture or thermal motion is included.

Peak list (10 most intense, 2θ from 5° to 70°, in order of rising 2θ)
- 21.00°, rel. 100, (1 1 0)
- 25.48°, rel. 25, (0 2 0)
- 32.72°, rel. 52, (1 1 -2)
- 33.74°, rel. 31, (2 0 0)
- 42.35°, rel. 30, (1 3 0)
- 42.75°, rel. 12, (2 2 0)
- 42.89°, rel. 25, (0 2 2)
- 43.95°, rel. 24, (2 2 -2)
- 46.72°, rel. 17, (1 1 2)
- 48.68°, rel. 15, (3 1 -2)

Crystal structure
Unit cell a=5.9836 b=6.9909 c=5.9549 alpha=90.00 beta=117.40 gamma=90.00
Space group C2/c (No. 15)
Inequivalent atoms, fractional coordinates:
Al  0.0000  0.1862  0.2500 [4 per cell]
Tc  0.0000  0.5000  0.0000 [4 per cell]
H  0.0000  0.3599  0.7500 [4 per cell]
H  0.0439  0.2550  0.9931 [8 per cell]
H  0.1743  0.0248  0.8530 [8 per cell]

Record 5
Structure and computed PXRD pattern of AlTcH3 (a structure optimized by DFT (PBE); Cu Kα, 1.54184 Å).
No peak broadening, texture or thermal motion is included.

Peak list (10 most intense, 2θ from 5° to 70°, in order of rising 2θ)
- 15.59°, rel. 100, (0 1 1)
- 25.57°, rel. 16, (0 0 2)
- 30.12°, rel. 21, (0 3 1)
- 31.54°, rel. 9, (1 1 0)
- 37.74°, rel. 43, (1 2 1)
- 39.89°, rel. 9, (0 1 3)
- 41.05°, rel. 48, (1 1 2)
- 45.12°, rel. 19, (0 4 2)
- 48.02°, rel. 11, (0 3 3)
- 53.50°, rel. 15, (1 2 3)

Crystal structure
Unit cell a=2.9612 b=9.8390 c=6.9662 alpha=90.00 beta=90.00 gamma=90.00
Space group Pna2_1 (No. 33)
Inequivalent atoms, fractional coordinates:
Al  0.0006  0.0201  0.0000 [4 per cell]
Tc  0.0014  0.3777  0.7379 [4 per cell]
H  0.0014  0.1790  0.5965 [4 per cell]
H  0.0023  0.5501  0.7580 [4 per cell]
H  0.0032  0.3401  0.9758 [4 per cell]

Record 6
Structure and computed PXRD pattern of Ti4AlH2 (a structure optimized by DFT (PBE); Cu Kα, 1.54184 Å).
No peak broadening, texture or thermal motion is included.

Peak list (10 most intense, 2θ from 5° to 70°, in order of rising 2θ)
- 27.16°, rel. 11, (1 3 1)
- 36.14°, rel. 40, (2 0 2)
- 38.52°, rel. 37, (3 3 1)
- 38.78°, rel. 100, (1 5 1)
- 40.74°, rel. 31, (4 2 0)
- 47.78°, rel. 7, (3 5 1)
- 52.20°, rel. 11, (1 3 3)
- 55.41°, rel. 6, (5 3 1)
- 59.62°, rel. 12, (3 7 1)
- 59.87°, rel. 11, (1 5 3)

Crystal structure
Unit cell a=9.4114 b=13.1230 c=5.8544 alpha=90.00 beta=90.00 gamma=90.00
Space group Fdd2 (No. 43)
Inequivalent atoms, fractional coordinates:
Ti  0.0613  0.3023  0.0000 [16 per cell]
Ti  0.0679  0.3979  0.5034 [16 per cell]
Al  0.0000  0.0000  0.3969 [8 per cell]
H  0.1118  0.1611  0.9463 [16 per cell]

Record 7
Structure and computed PXRD pattern of Ti3AlH (a structure optimized by DFT (PBE); Cu Kα, 1.54184 Å).
No peak broadening, texture or thermal motion is included.

Peak list (10 most intense, 2θ from 5° to 70°, in order of rising 2θ)
- 14.88°, rel. 5, (0 0 2)
- 27.57°, rel. 5, (0 2 2)
- 33.87°, rel. 4, (2 0 2)
- 38.20°, rel. 100, (0 2 4)
- 38.39°, rel. 99, (2 2 0)
- 43.14°, rel. 71, (2 0 4)
- 47.17°, rel. 27, (0 4 0)
- 62.38°, rel. 10, (0 0 8)
- 62.92°, rel. 11, (4 0 0)
- 65.83°, rel. 36, (2 4 4)

Crystal structure
Unit cell a=5.9083 b=7.7070 c=11.9081 alpha=90.00 beta=90.00 gamma=90.00
Space group Fmmm (No. 69)
Inequivalent atoms, fractional coordinates:
Ti  0.0000  0.2500  0.2500 [8 per cell]
Ti  0.2499  0.0000  0.1200 [16 per cell]
Al  0.0000  0.2500  0.0000 [8 per cell]
H  0.0000  0.0000  0.2502 [8 per cell]

Record 8
Structure and computed PXRD pattern of Ti3AlH2 (a structure optimized by DFT (PBE); Cu Kα, 1.54184 Å).
No peak broadening, texture or thermal motion is included.

Peak list (10 most intense, 2θ from 5° to 70°, in order of rising 2θ)
- 20.05°, rel. 3, (0 0 2)
- 24.58°, rel. 5, (1 0 1)
- 31.90°, rel. 1, (1 1 0)
- 37.96°, rel. 100, (1 1 2)
- 40.75°, rel. 21, (0 0 4)
- 45.73°, rel. 29, (2 0 0)
- 50.40°, rel. 1, (2 0 2)
- 52.62°, rel. 1, (2 1 1)
- 62.90°, rel. 21, (2 0 4)
- 66.67°, rel. 9, (2 2 0)

Crystal structure
Unit cell a=3.9679 b=3.9679 c=8.8573 alpha=90.00 beta=90.00 gamma=90.00
Space group I4/mmm (No. 139)
Inequivalent atoms, fractional coordinates:
Ti  0.0000  0.0000  0.0000 [2 per cell]
Ti  0.0000  0.5000  0.2500 [4 per cell]
Al  0.0000  0.0000  0.5000 [2 per cell]
H  0.0000  0.0000  0.2123 [4 per cell]